# 1
This entry pairs a crystal structure of NiH12C6S4N2 with its computed XRD peak list. Radiation: Cu Kα (weighted mean of Kα1 and Kα2). Structure: the GGA-PBE geometry in OQMD.
Kinematic intensities with the Lorentz-polarization factor, no thermal factor.

Principal peaks in the range 15° ≤ 2θ ≤ 90°, sorted by position:
| d_spacing | intensity | h k l |
| --- | --- | --- |
| 5.707 | 53 | 0 1 1 |
| 5.603 | 74 | 1 0 1 |
| 3.650 | 41 | -1 1 1 |
| 3.443 | 100 | 0 1 2 |
| 2.871 | 11 | 1 -2 0 |
| 2.616 | 9 | 2 1 0 |
| 2.478 | 16 | 1 -2 1 |
| 2.424 | 11 | 2 2 2 |
| 2.064 | 14 | 3 1 1 |
| 1.720 | 15 | 0 2 4 |

Atomic structure:
```
data_NiH12C6S4N2
_cell_length_a 6.507
_cell_length_b 6.811
_cell_length_c 7.562
_cell_angle_alpha 67.54
_cell_angle_beta 66.86
_cell_angle_gamma 85.20
_space_group_name_H-M_alt 'P -1'
_space_group_IT_number 2
loop_
_space_group_symop_operation_xyz
'x,y,z'
'-x,-y,-z'
loop_
_atom_site_label
_atom_site_fract_x
_atom_site_fract_y
_atom_site_fract_z
Ni1 0.000 0.000 0.000
H1 0.003 0.719 0.622
H2 0.143 0.898 0.668
H3 0.271 0.850 0.431
H4 0.391 0.261 0.473
H5 0.437 0.479 0.230
H6 0.466 0.776 0.769
C1 0.167 0.778 0.598
C2 0.188 0.404 0.796
C3 0.492 0.663 0.691
S1 0.064 0.682 0.183
S2 0.306 0.186 0.919
N1 0.278 0.604 0.698
```

# 2
This entry pairs a crystal structure of K2Er4Cu4S9 with its computed XRD peak list. Radiation: Cu Kα (weighted mean of Kα1 and Kα2). Structure: the GGA-PBE geometry in OQMD.
Kinematic intensities with the Lorentz-polarization factor, no thermal factor.

Principal peaks in the range 15° ≤ 2θ ≤ 90°, sorted by position:
| d_spacing | intensity | h k l |
| --- | --- | --- |
| 3.405 | 79 | 4 0 -2 |
| 3.223 | 54 | 1 1 2 |
| 3.143 | 77 | 1 1 -3 |
| 2.972 | 100 | 3 1 -1 |
| 2.858 | 59 | 1 1 3 |
| 2.792 | 56 | 3 1 -3 |
| 2.727 | 69 | 3 1 1 |
| 2.407 | 51 | 2 0 5 |
| 2.244 | 52 | 5 1 -2 |
| 1.960 | 67 | 0 2 0 |

Atomic structure:
```
data_K2Er4Cu4S9
_cell_length_a 13.685
_cell_length_b 3.920
_cell_length_c 15.790
_cell_angle_alpha 90.00
_cell_angle_beta 109.76
_cell_angle_gamma 90.00
_space_group_name_H-M_alt 'C 1 2/m 1'
_space_group_IT_number 12
loop_
_space_group_symop_operation_xyz
'x,y,z'
'-x,-y,-z'
'-x,y,-z'
'x,-y,z'
'x+1/2,y+1/2,z'
'-x+1/2,-y+1/2,-z'
'-x+1/2,y+1/2,-z'
'x+1/2,-y+1/2,z'
loop_
_atom_site_label
_atom_site_fract_x
_atom_site_fract_y
_atom_site_fract_z
K1 0.028 0.000 0.270
Er1 0.155 0.500 0.555
Er2 0.233 0.000 0.105
Cu1 0.069 0.500 0.960
Cu2 0.246 0.000 0.729
S1 0.000 0.000 0.500
S2 0.110 0.500 0.127
S3 0.138 0.000 0.924
S4 0.150 0.500 0.721
S5 0.201 0.500 0.398
```

# 3
This entry pairs a crystal structure of La7Co3 with its computed XRD peak list. Radiation: Cu Kα (weighted mean of Kα1 and Kα2). Structure: the GGA-PBE geometry in OQMD.
Kinematic intensities with the Lorentz-polarization factor, no thermal factor.

Principal peaks in the range 15° ≤ 2θ ≤ 90°, sorted by position:
| d_spacing | intensity | h k l |
| --- | --- | --- |
| 3.224 | 21 | 2 1 0 |
| 3.031 | 51 | 1 0 2 |
| 2.887 | 100 | 2 1 1 |
| 2.604 | 41 | 3 0 1 |
| 2.581 | 46 | 2 0 2 |
| 2.463 | 35 | 2 2 0 |
| 1.721 | 31 | 3 0 3 |
| 1.676 | 27 | 3 2 2 |
| 1.650 | 23 | 5 0 1 |
| 1.642 | 16 | 3 3 0 |

Atomic structure:
```
data_La7Co3
_cell_length_a 9.8503
_cell_length_b 9.8503
_cell_length_c 6.4852
_cell_angle_alpha 90.00
_cell_angle_beta 90.00
_cell_angle_gamma 120.00
_space_group_name_H-M_alt 'P 63 m c'
_space_group_IT_number 186
_space_group_name_Hall 'P 6c -2c'
loop_
_atom_site_label
_atom_site_fract_x
_atom_site_fract_y
_atom_site_fract_z
La1 0.0765 0.5382 0.0000
La2 0.1251 0.2503 0.6867
La3 0.3333 0.6667 0.4475
Co1 0.1861 0.3721 0.2222
```

# 4
This entry pairs a crystal structure of SrLuGe2 with its computed XRD peak list. Radiation: Cu Kα (weighted mean of Kα1 and Kα2). Structure: the GGA-PBE geometry in OQMD.
Kinematic intensities with the Lorentz-polarization factor, no thermal factor.

Principal peaks in the range 15° ≤ 2θ ≤ 90°, sorted by position:
| d_spacing | intensity | h k l |
| --- | --- | --- |
| 4.256 | 13 | 1 1 1 |
| 3.686 | 5 | 2 0 0 |
| 2.606 | 100 | 2 2 0 |
| 2.222 | 7 | 3 1 1 |
| 1.843 | 18 | 4 0 0 |
| 1.691 | 3 | 3 3 1 |
| 1.505 | 37 | 4 2 2 |
| 1.419 | 2 | 5 1 1 |
| 1.303 | 11 | 4 4 0 |
| 1.165 | 16 | 6 2 0 |

Atomic structure:
```
data_SrLuGe2
_cell_length_a 7.371
_cell_length_b 7.371
_cell_length_c 7.371
_cell_angle_alpha 90.00
_cell_angle_beta 90.00
_cell_angle_gamma 90.00
_space_group_name_H-M_alt 'F -4 3 m'
_space_group_IT_number 216
_space_group_name_Hall 'F -4 2 3'
loop_
_atom_site_label
_atom_site_fract_x
_atom_site_fract_y
_atom_site_fract_z
Sr1 0.000 0.000 0.000
Lu1 0.250 0.250 0.250
Ge1 0.000 0.000 0.500
Ge2 0.250 0.250 0.750
```

# 5
This entry pairs a crystal structure of LuFeRe2 with its computed XRD peak list. Radiation: Cu Kα (weighted mean of Kα1 and Kα2). Structure: the GGA-PBE geometry in OQMD.
Kinematic intensities with the Lorentz-polarization factor, no thermal factor.

Principal peaks in the range 15° ≤ 2θ ≤ 90°, sorted by position:
| d_spacing | intensity | h k l |
| --- | --- | --- |
| 3.640 | 10 | 1 1 1 |
| 3.152 | 5 | 2 0 0 |
| 2.229 | 100 | 2 2 0 |
| 1.901 | 6 | 3 1 1 |
| 1.576 | 17 | 4 0 0 |
| 1.446 | 2 | 3 3 1 |
| 1.410 | 2 | 4 2 0 |
| 1.287 | 34 | 4 2 2 |
| 1.213 | 2 | 5 1 1 |
| 1.114 | 11 | 4 4 0 |

Atomic structure:
```
data_LuFeRe2
_cell_length_a 6.304
_cell_length_b 6.304
_cell_length_c 6.304
_cell_angle_alpha 90.00
_cell_angle_beta 90.00
_cell_angle_gamma 90.00
_space_group_name_H-M_alt 'F -4 3 m'
_space_group_IT_number 216
_space_group_name_Hall 'F -4 2 3'
loop_
_atom_site_label
_atom_site_fract_x
_atom_site_fract_y
_atom_site_fract_z
Lu1 0.000 0.000 0.000
Fe1 0.250 0.250 0.250
Re1 0.000 0.000 0.500
Re2 0.250 0.250 0.750
```

# 6
This entry pairs a crystal structure of Nb3Ni5Bi5 with its computed XRD peak list. Radiation: Cu Kα (weighted mean of Kα1 and Kα2). Structure: the GGA-PBE geometry in OQMD.
Kinematic intensities with the Lorentz-polarization factor, no thermal factor.

Principal peaks in the range 15° ≤ 2θ ≤ 90°, sorted by position:
| d_spacing | intensity | h k l |
| --- | --- | --- |
| 3.503 | 82 | 1 1 -2 |
| 3.482 | 98 | 3 1 -1 |
| 3.063 | 49 | 0 2 0 |
| 3.021 | 53 | 2 0 1 |
| 2.991 | 38 | 4 0 -3 |
| 2.151 | 100 | 2 2 1 |
| 2.140 | 86 | 4 2 -3 |
| 2.135 | 40 | 2 0 -4 |
| 2.117 | 43 | 6 0 -2 |
| 1.231 | 22 | 8 2 -1 |

Atomic structure:
```
data_Nb3Ni5Bi5
_cell_length_a 13.358
_cell_length_b 6.126
_cell_length_c 9.494
_cell_angle_alpha 90.00
_cell_angle_beta 134.54
_cell_angle_gamma 90.00
_space_group_name_H-M_alt 'C 1 2 1'
_space_group_IT_number 5
loop_
_space_group_symop_operation_xyz
'x,y,z'
'-x,y,-z'
'x+1/2,y+1/2,z'
'-x+1/2,y+1/2,-z'
loop_
_atom_site_label
_atom_site_fract_x
_atom_site_fract_y
_atom_site_fract_z
Nb1 0.000 0.000 0.000
Nb2 0.102 0.511 0.799
Ni1 0.000 0.304 0.500
Ni2 0.080 0.762 0.276
Ni3 0.192 0.238 0.081
Bi1 0.000 0.497 0.000
Bi2 0.098 0.010 0.768
Bi3 0.211 0.519 0.591
```

# 7
This entry pairs a crystal structure of YTmGe2Pt4 with its computed XRD peak list. Radiation: Cu Kα (weighted mean of Kα1 and Kα2). Structure: the GGA-PBE geometry in OQMD.
Kinematic intensities with the Lorentz-polarization factor, no thermal factor.

Principal peaks in the range 15° ≤ 2θ ≤ 90°, sorted by position:
| d_spacing | intensity | h k l |
| --- | --- | --- |
| 2.581 | 63 | 0 1 3 |
| 2.562 | 100 | 2 1 1 |
| 2.430 | 46 | 1 1 3 |
| 2.183 | 39 | 3 0 2 |
| 2.105 | 43 | 2 0 4 |
| 2.099 | 21 | 2 1 3 |
| 2.007 | 33 | 3 1 1 |
| 1.941 | 34 | 0 2 0 |
| 1.450 | 22 | 3 2 2 |
| 1.427 | 25 | 2 2 4 |

Atomic structure:
```
data_YTmGe2Pt4
_cell_length_a 7.221
_cell_length_b 3.882
_cell_length_c 10.364
_cell_angle_alpha 90.00
_cell_angle_beta 90.00
_cell_angle_gamma 90.00
_space_group_name_H-M_alt 'A m m 2'
_space_group_IT_number 38
loop_
_space_group_symop_operation_xyz
'x,y,z'
'-x,-y,z'
'-x,y,z'
'x,-y,z'
'x,y+1/2,z+1/2'
'-x,-y+1/2,z+1/2'
'-x,y+1/2,z+1/2'
'x,-y+1/2,z+1/2'
loop_
_atom_site_label
_atom_site_fract_x
_atom_site_fract_y
_atom_site_fract_z
Y1 0.000 0.000 0.000
Tm1 0.500 0.000 0.902
Ge1 0.000 0.000 0.717
Ge2 0.500 0.000 0.184
Pt1 0.201 0.000 0.315
Pt2 0.302 0.000 0.585
```